No. 1
# Tb2Pr2YTm2
Simulated X-ray diffraction stick pattern, Cu Kα (λ = 1.5418 Å). Input: a structure optimized by DFT (GGA-PBE).
Peak positions follow from Bragg's law for the DFT cell and can differ from measured ones.

Peak list (12 most intense, 10 to 90 degrees two-theta, low angle first)
d [Å], 2θ (°), intensity, h k l
3.418, 26.07, 26.3, 1 1 0
3.236, 27.57, 77.4, 1 1 -1
2.944, 30.36, 100.0, 6 0 -1
2.934, 30.47, 94.1, 2 0 2
2.772, 32.30, 76.3, 4 0 -3
2.654, 33.77, 92.6, 3 1 -2
2.519, 35.65, 76.4, 3 1 1
2.349, 38.31, 38.5, 5 1 0
1.728, 53.00, 35.6, 1 1 -4
1.504, 61.65, 26.9, 6 2 -1
1.503, 61.71, 25.2, 2 2 2
1.487, 62.46, 24.5, 5 1 3

Crystal structure
Cell lengths 17.7843, 3.5004, 8.4879 Å; angles 90.00, 117.00, 90.00 degrees
Space group C2/m (No. 12)
Asymmetric unit:
Tb1 0.2096 0.0000 0.2993 [4 per cell]
Pr1 0.1479 0.5000 0.8825 [4 per cell]
Y1 0.0000 0.0000 0.0000 [2 per cell]
Tm1 0.0700 0.5000 0.4055 [4 per cell]

=====

No. 2
# Rb2Pd3O4
Simulated X-ray diffraction stick pattern, Cu Kα (λ = 1.5418 Å). Input: a structure optimized by DFT (GGA-PBE).
Peak positions follow from Bragg's law for the DFT cell and can differ from measured ones.

Peak list (12 most intense, 10 to 90 degrees two-theta, low angle first)
d [Å], 2θ (°), intensity, h k l
6.000, 14.76, 97.4, 0 0 2
3.744, 23.76, 58.2, 0 2 2
3.132, 28.50, 100.0, 1 1 3
2.517, 35.67, 83.5, 2 2 0
2.396, 37.54, 37.9, 0 4 0
2.321, 38.80, 27.0, 2 2 2
2.300, 39.17, 55.3, 1 3 3
2.000, 45.34, 19.1, 0 0 6
1.928, 47.13, 35.1, 2 2 4
1.566, 58.99, 44.6, 2 2 6
1.535, 60.28, 20.4, 0 4 6
1.405, 66.53, 18.5, 2 6 0

Crystal structure
Cell lengths 5.9152, 9.5834, 12.0009 Å; angles 90.00, 90.00, 90.00 degrees
Space group Fmmm (No. 69)
Asymmetric unit:
Rb1 0.0000 0.0000 0.1785 [8 per cell]
Pd1 0.0000 0.0000 0.5000 [4 per cell]
Pd2 0.2500 0.2500 0.0000 [8 per cell]
O1 0.0000 0.1712 0.3946 [16 per cell]

=====

No. 3
# Dy4Ho4In
Simulated X-ray diffraction stick pattern, Cu Kα (λ = 1.5418 Å). Input: a structure optimized by DFT (GGA-PBE).
Peak positions follow from Bragg's law for the DFT cell and can differ from measured ones.

Peak list (12 most intense, 10 to 90 degrees two-theta, low angle first)
d [Å], 2θ (°), intensity, h k l
2.852, 31.37, 100.0, 3 0 1
2.487, 36.12, 34.2, 3 3 0
2.437, 36.88, 16.3, 0 0 2
1.758, 52.01, 12.0, 6 0 0
1.741, 52.58, 23.4, 3 3 2
1.497, 62.01, 28.1, 6 3 1
1.475, 63.02, 13.6, 3 0 3
1.426, 65.45, 12.0, 6 0 2
1.140, 85.13, 5.8, 9 0 1
1.130, 86.03, 11.6, 6 3 3
1.112, 87.77, 5.4, 9 3 0
1.108, 88.23, 5.4, 6 6 2

Crystal structure
Cell lengths 10.5498, 10.5498, 4.8746 Å; angles 90.00, 90.00, 90.00 degrees
Space group I4/mmm (No. 139)
Asymmetric unit:
Dy1 0.0000 0.3347 0.0000 [8 per cell]
Ho1 0.1617 0.1617 0.5000 [8 per cell]
In1 0.0000 0.0000 0.0000 [2 per cell]

=====

No. 4
# TaSi2
Simulated X-ray diffraction stick pattern, Cu Kα (λ = 1.5418 Å). Input: a structure optimized by DFT (GGA-PBE).
Peak positions follow from Bragg's law for the DFT cell and can differ from measured ones.

Peak list (12 most intense, 10 to 90 degrees two-theta, low angle first)
d [Å], 2θ (°), intensity, h k l
4.158, 21.37, 15.9, 1 0 0
3.519, 25.31, 100.0, 1 0 1
2.586, 34.69, 45.3, 1 0 2
2.256, 39.96, 74.6, 1 1 1
2.202, 41.00, 26.1, 0 0 3
2.079, 43.53, 27.3, 2 0 0
1.942, 46.77, 51.8, 1 1 2
1.529, 60.55, 18.1, 2 1 1
1.512, 61.33, 20.1, 2 0 3
1.360, 69.03, 14.9, 1 1 4
1.357, 69.26, 14.7, 3 0 1
1.278, 74.18, 15.3, 3 0 2

Crystal structure
Cell lengths 4.8018, 4.8018, 6.6046 Å; angles 90.00, 90.00, 120.00 degrees
Space group P6_422 (No. 181)
Asymmetric unit:
Ta1 0.0000 0.5000 0.3333 [3 per cell]
Si1 0.1592 0.3183 0.0000 [6 per cell]

=====

No. 5
# Sr6PuO12
Simulated X-ray diffraction stick pattern, Cu Kα (λ = 1.5418 Å). Input: a structure optimized by DFT (GGA-PBE).
Peak positions follow from Bragg's law for the DFT cell and can differ from measured ones.

Peak list (12 most intense, 10 to 90 degrees two-theta, low angle first)
d [Å], 2θ (°), intensity, h k l
6.720, 13.17, 32.2, 1 0 1
4.340, 20.46, 15.1, 0 1 2
3.279, 27.20, 100.0, 0 0 3
2.839, 31.51, 34.7, 3 -2 2
2.654, 33.77, 17.8, 2 2 0
2.264, 39.81, 6.6, 3 1 2
2.064, 43.87, 21.1, 2 2 3
2.008, 45.16, 36.7, 2 1 4
1.808, 50.49, 7.2, 0 5 1
1.712, 53.52, 27.6, 3 -2 5
1.142, 84.94, 7.5, 8 -7 3
1.092, 89.77, 7.4, 3 6 3

Crystal structure
Cell lengths 10.6171, 10.6171, 9.8466 Å; angles 90.00, 90.00, 120.00 degrees
Space group R-3 (No. 148, hexagonal axes)
Asymmetric unit:
Sr1 0.0598 0.4894 0.3210 [18 per cell]
Pu1 0.0000 0.0000 0.0000 [3 per cell]
O1 0.0390 0.1849 0.8920 [18 per cell]
O2 0.0570 0.4931 0.0413 [18 per cell]

=====

No. 6
# RbHfCdF7
Simulated X-ray diffraction stick pattern, Cu Kα (λ = 1.5418 Å). Input: a structure optimized by DFT (GGA-PBE).
Peak positions follow from Bragg's law for the DFT cell and can differ from measured ones.

Peak list (12 most intense, 10 to 90 degrees two-theta, low angle first)
d [Å], 2θ (°), intensity, h k l
5.634, 15.73, 46.4, 0 2 0
4.304, 20.64, 63.6, 0 0 2
3.472, 25.66, 69.1, 1 1 2
3.443, 25.88, 74.2, 2 0 0
3.420, 26.05, 75.6, 0 2 2
3.298, 27.04, 100.0, 1 3 0
2.427, 37.05, 45.2, 2 2 2
2.152, 41.98, 36.2, 0 0 4
1.959, 46.35, 36.2, 3 3 0
1.918, 47.41, 48.4, 1 5 2
1.802, 50.65, 35.0, 1 3 4
1.449, 64.31, 26.4, 3 3 4

Crystal structure
Cell lengths 6.8866, 11.2689, 8.6077 Å; angles 90.00, 90.00, 90.00 degrees
Space group Cmcm (No. 63)
Asymmetric unit:
Rb1 0.0000 0.0000 0.0000 [4 per cell]
Hf1 0.0000 0.3070 0.2500 [4 per cell]
Cd1 0.0000 0.3092 0.7500 [4 per cell]
F1 0.0000 0.2986 0.0163 [8 per cell]
F2 0.0000 0.4880 0.2500 [4 per cell]
F3 0.1752 0.1531 0.2500 [8 per cell]
F4 0.2074 0.1423 0.7500 [8 per cell]

=====

No. 7
# Er2TePd9
Simulated X-ray diffraction stick pattern, Cu Kα (λ = 1.5418 Å). Input: a structure optimized by DFT (GGA-PBE).
Peak positions follow from Bragg's law for the DFT cell and can differ from measured ones.

Peak list (12 most intense, 10 to 90 degrees two-theta, low angle first)
d [Å], 2θ (°), intensity, h k l
4.097, 21.69, 2.4, 1 0 0
2.897, 30.87, 2.1, 1 1 0
2.365, 38.05, 100.0, 1 1 3
2.052, 44.14, 16.3, 0 0 6
2.047, 44.26, 32.5, 2 0 0
1.833, 49.75, 0.8, 1 0 6
1.672, 54.90, 0.9, 2 1 3
1.448, 64.32, 31.4, 2 2 0
1.365, 68.75, 0.6, 2 1 6
1.237, 77.12, 12.2, 1 1 9
1.234, 77.29, 24.5, 3 1 3
1.183, 81.37, 10.7, 2 2 6

Crystal structure
Cell lengths 4.0932, 4.0932, 12.3110 Å; angles 90.00, 90.00, 90.00 degrees
Space group P4/mmm (No. 123)
Asymmetric unit:
Er1 0.0000 0.0000 0.1642 [2 per cell]
Te1 0.0000 0.0000 0.5000 [1 per cell]
Pd1 0.0000 0.5000 0.0000 [2 per cell]
Pd2 0.0000 0.5000 0.3360 [4 per cell]
Pd3 0.5000 0.5000 0.1701 [2 per cell]
Pd4 0.5000 0.5000 0.5000 [1 per cell]